No. 1
NaLaNb4O12: calculated powder XRD pattern (Cu Kα (λ = 1.5418 Å)), based on a GGA-PBE-relaxed structure.
Kinematic intensities with the Lorentz-polarization factor, no thermal factor.

Cell and atoms:
Cell lengths 5.633, 5.633, 16.069 Å; angles 90.00, 90.00, 90.00 degrees
Space group I4/mmm (No. 139)
Unique sites:
Na (0.000, 0.000, 0.000) x2
La (0.000, 0.000, 0.500) x2
Nb (0.000, 0.500, 0.129) x8
O (0.000, 0.500, 0.000) x4
O (0.000, 0.500, 0.250) x4
O (0.243, 0.243, 0.386) x16

Peak list (10 most intense, 2θ from 15° to 90°, by angle)
two_theta, d (Å), I (rel.), (hkl)
16.68, 5.316, 29, 1 0 1
22.13, 4.017, 23, 0 0 4
22.32, 3.983, 48, 1 1 0
24.95, 3.568, 27, 1 1 2
31.63, 2.828, 100, 1 1 4
31.77, 2.816, 50, 2 0 0
45.55, 1.991, 42, 2 2 0
56.25, 1.635, 21, 2 0 8
56.52, 1.628, 39, 3 1 4
66.07, 1.414, 24, 2 2 8

No. 2
NaLaNbP3O12: calculated powder XRD pattern (Cu Kα (λ = 1.5418 Å)), based on a GGA-PBE-relaxed structure.
Kinematic intensities with the Lorentz-polarization factor, no thermal factor.

Cell and atoms:
Cell lengths 9.2145, 9.2145, 23.5568 Å; angles 90.00, 90.00, 120.00 degrees
Space group R3c (No. 161, hexagonal axes)
Unique sites:
Na (0.0000, 0.0000, 0.0000) x6
La (0.0000, 0.0000, 0.3538) x6
Nb (0.0000, 0.0000, 0.1474) x6
P (0.0231, 0.3050, 0.2487) x18
O (0.0364, 0.2004, 0.1954) x18
O (0.1270, 0.4511, 0.5748) x18
O (0.1286, 0.4577, 0.9685) x18
O (0.1883, 0.0477, 0.5888) x18

Peak list (10 most intense, 2θ from 15° to 90°, by angle)
two_theta, d (Å), I (rel.), (hkl)
18.73, 4.739, 82, 1 0 4
19.26, 4.607, 100, 1 1 0
22.37, 3.974, 63, 1 1 3
26.99, 3.303, 47, 0 2 4
29.90, 2.989, 94, 1 1 6
33.38, 2.685, 27, 2 1 4
33.69, 2.660, 43, 3 0 0
45.66, 1.987, 29, 2 2 6
49.07, 1.857, 26, 2 1 10
52.55, 1.741, 28, 4 1 0